# 1
The following is a calculated XRD peak list of NdY2Au. It was derived from a crystal structure in Alexandria, relaxed with PBE, using Cu Ka.
Lines closer than 0.1° are merged.

Atomic structure:
```
NdY2Au
1.0
7.036 0.000 0.000
0.000 10.044 0.000
0.000 0.000 6.708
Nd Y Au
4 8 4
Direct
0.003 0.250 0.129
0.497 0.750 0.629
0.503 0.250 0.371
0.997 0.750 0.871
0.184 0.053 0.680
0.184 0.447 0.680
0.316 0.553 0.180
0.316 0.947 0.180
0.684 0.053 0.820
0.684 0.447 0.820
0.816 0.553 0.320
0.816 0.947 0.320
0.107 0.750 0.433
0.393 0.250 0.933
0.607 0.750 0.067
0.893 0.250 0.567
```

Most intense lines, 2θ from 10° to 80°, in order of falling intensity:
two_theta, I (rel.)
30.8, 100
31.0, 51
17.7, 47
37.1, 40
54.8, 37
34.6, 35
32.5, 34
35.8, 32
33.9, 32
40.2, 29
20.3, 28
32.1, 27

# 2
The following is a calculated XRD peak list of NdYZnAu. It was derived from a crystal structure in Alexandria, relaxed with PBE, using Cu Ka.
Lines closer than 0.1° are merged.

Atomic structure:
```
NdYZnAu
1.0
3.661 0.000 0.000
0.000 3.661 0.000
0.000 0.000 7.235
Nd Y Zn Au
1 1 1 1
Direct
0.000 0.000 0.000
0.000 0.000 0.504
0.500 0.500 0.739
0.500 0.500 0.273
```

Most intense lines, 2θ from 10° to 80°, in order of falling intensity:
two_theta, I (rel.)
34.9, 100
34.6, 52
62.2, 37
49.8, 19
27.3, 18
12.2, 17
62.7, 17
73.6, 10
50.5, 8
73.1, 6
36.9, 5
51.8, 5